Simulated powder XRD pattern of LiFe6Ge5 for copper Kα, from the GGA-PBE geometry in the Materials Project.

Structure:
```
24
Lattice="4.3263 -2.5033 0.0000 4.3263 2.5033 0.0000 -2.8854 0.0000 14.4394" Properties=species:S:1:pos:R:3 pbc="T T T"
Li 0.0311 0.0000 3.7974
Li 5.7361 0.0000 10.6420
Fe 2.1655 1.2524 1.9948
Fe 2.1645 1.2276 6.0224
Fe 1.4815 0.0000 8.4039
Fe 3.6027 1.2276 8.4171
Fe 1.4349 0.0000 12.4418
Fe 3.6017 1.2524 12.4446
Fe 2.1655 -1.2524 1.9948
Fe 4.3322 0.0000 1.9976
Fe 2.1645 -1.2276 6.0224
Fe 4.2856 0.0000 6.0355
Fe 3.6027 -1.2276 8.4171
Fe 3.6017 -1.2524 12.4446
Ge -0.0046 0.0000 1.2721
Ge -0.0105 0.0000 6.3907
Ge -0.0001 0.0000 10.4374
Ge 2.8857 0.0000 0.0019
Ge 2.8855 0.0000 3.9851
Ge 2.8816 0.0000 10.4543
Ge 2.8815 0.0000 14.4375
Ge 5.7673 0.0000 4.0020
Ge 5.7776 0.0000 8.0487
Ge 5.7718 0.0000 13.1673
```

Top 10 peaks for 2θ = 5–70°, most intense first:
47.9°, intensity 100.0; 46.9°, intensity 97.8; 35.9°, intensity 54.9; 44.1°, intensity 53.4; 41.8°, intensity 47.5; 43.9°, intensity 44.5; 40.7°, intensity 27.8; 12.3°, intensity 22.5; 50.9°, intensity 19.3; 20.6°, intensity 19.2